No. 1
For La3Al3Au8, a cell relaxed with PBE gives the calculated powder diffractogram in this record (Cu Kα, 1.54184 Å).

Atomic structure:
Lattice parameters (Å, degrees): 8.709 8.709 9.139 121.27 121.27 31.05
Element x y z (fractional)
La: 0.000 0.000 0.000
La: 0.294 0.294 0.264
La: 0.706 0.706 0.736
Al: 0.000 0.000 0.500
Al: 0.330 0.330 0.664
Al: 0.670 0.670 0.336
Au: 0.121 0.121 0.834
Au: 0.143 0.143 0.435
Au: 0.357 0.357 0.965
Au: 0.488 0.488 0.658
Au: 0.512 0.512 0.342
Au: 0.643 0.643 0.035
Au: 0.857 0.857 0.565
Au: 0.879 0.879 0.166

Largest 8 diffraction maxima, in order of rising 2θ, 15° ≤ 2θ ≤ 90°:
two_theta  d/Å  I/Imax
29.97  2.982  35
33.25  2.694  100
33.48  2.677  96
35.19  2.550  24
37.19  2.418  21
37.42  2.403  35
38.62  2.331  62
44.63  2.030  25

---

No. 2
For LaAl4Au3, a cell relaxed with PBE gives the calculated powder diffractogram in this record (Cu Kα, 1.54184 Å).

Atomic structure:
Lattice parameters (Å, degrees): 4.298 4.298 8.771 90.00 90.00 90.00
Element x y z (fractional)
La: 0.000 0.000 0.000
Al: 0.000 0.500 0.327
Al: 0.000 0.500 0.673
Al: 0.500 0.000 0.327
Al: 0.500 0.000 0.673
Au: 0.000 0.000 0.500
Au: 0.500 0.500 0.159
Au: 0.500 0.500 0.841

Largest 8 diffraction maxima, in order of rising 2θ, 15° ≤ 2θ ≤ 90°:
two_theta  d/Å  I/Imax
23.04  3.860  52
29.09  3.070  100
29.39  3.039  75
42.04  2.149  52
42.92  2.107  45
46.49  1.953  39
51.94  1.760  41
64.46  1.445  30